AcTb2Tl2Cd2: simulated powder diffractogram (Cu Kα (λ = 1.5418 Å)), based on DFT lattice parameters and positions (GGA-PBE).
Peak positions follow from Bragg's law for the DFT cell and can differ from measured ones.

Structure:
```
data_AcTb2Tl2Cd2
_cell_length_a 5.0911
_cell_length_b 5.0911
_cell_length_c 27.5312
_cell_angle_alpha 90.00
_cell_angle_beta 90.00
_cell_angle_gamma 120.00
_symmetry_space_group_name_H-M 'R -3 m'
_symmetry_Int_Tables_number 166
_symmetry_space_group_name_Hall '-R 3 2"'
loop_
_atom_site_label
_atom_site_type_symbol
_atom_site_fract_x
_atom_site_fract_y
_atom_site_fract_z
Ac1 Ac 0.0000 0.0000 0.0000
Tb1 Tb 0.0000 0.0000 0.1361
Tl1 Tl 0.0000 0.0000 0.2627
Cd1 Cd 0.0000 0.0000 0.4375
```

Main lines, most intense first (10 to 90 degrees two-theta):
- 2θ 35.3, d 2.546, I 100, hkl 1 1 0
- 2θ 30.5, d 2.935, I 97, hkl 1 0 7
- 2θ 33.0, d 2.713, I 29, hkl 0 1 8
- 2θ 47.3, d 1.923, I 29, hkl 0 2 7
- 2θ 60.3, d 1.534, I 28, hkl 2 1 7
- 2θ 63.3, d 1.470, I 18, hkl 3 0 0
- 2θ 24.0, d 3.713, I 17, hkl 1 0 4
- 2θ 74.6, d 1.272, I 15, hkl 2 2 0
- 2θ 62.4, d 1.489, I 14, hkl 1 1 15
- 2θ 82.6, d 1.168, I 12, hkl 1 3 7